No. 1
Theoretical X-ray diffraction stick pattern
Compound: K2HoSbO7
Radiation: CuKα
Structure: a GGA-PBE-relaxed structure
No peak broadening, texture or thermal motion is included.

Most intense lines, 2θ from 15° to 90°, sorted by position:
| Position (°2θ) | Rel. int. |
| --- | --- |
| 15.34 | 31 |
| 25.90 | 30 |
| 26.41 | 100 |
| 27.19 | 89 |
| 30.97 | 48 |
| 44.54 | 58 |
| 51.92 | 34 |
| 53.25 | 26 |

Structural model:
```
data_K2HoSbO7
_chemical_formula_sum 'K8 Ho4 Sb4 O28'
_cell_length_a 7.997
_cell_length_b 11.466
_cell_length_c 8.350
_cell_angle_alpha 90.00
_cell_angle_beta 90.00
_cell_angle_gamma 90.00
_space_group_name_H-M_alt 'I m m a'
_space_group_IT_number 74
_space_group_name_Hall '-I 2b 2'
loop_
_atom_site_label
_atom_site_type_symbol
_atom_site_fract_x
_atom_site_fract_y
_atom_site_fract_z
K1 K 0.000 0.000 0.000
K2 K 0.250 0.250 0.250
Ho1 Ho 0.250 0.250 0.750
Sb1 Sb 0.000 0.000 0.500
O1 O 0.000 0.088 0.297
O2 O 0.000 0.250 0.864
O3 O 0.177 0.111 0.572
```

No. 2
Theoretical X-ray diffraction stick pattern
Compound: K2HoSeO6
Radiation: CuKα
Structure: a GGA-PBE-relaxed structure
No peak broadening, texture or thermal motion is included.

Most intense lines, 2θ from 15° to 90°, sorted by position:
| Position (°2θ) | Rel. int. |
| --- | --- |
| 16.34 | 100 |
| 22.63 | 17 |
| 28.50 | 40 |
| 35.60 | 21 |
| 36.70 | 13 |
| 42.92 | 23 |
| 46.22 | 18 |
| 55.20 | 17 |

Structural model:
```
data_K2HoSeO6
_chemical_formula_sum 'K2 Ho1 Se1 O6'
_cell_length_a 6.2634
_cell_length_b 6.2634
_cell_length_c 5.6971
_cell_angle_alpha 90.00
_cell_angle_beta 90.00
_cell_angle_gamma 120.00
_space_group_name_H-M_alt 'P -3 m 1'
_space_group_IT_number 164
_space_group_name_Hall '-P 3 2"'
loop_
_atom_site_label
_atom_site_type_symbol
_atom_site_fract_x
_atom_site_fract_y
_atom_site_fract_z
K1 K 0.3333 0.6667 0.0986
Ho1 Ho 0.0000 0.0000 0.5000
Se1 Se 0.0000 0.0000 0.0000
O1 O 0.1354 0.2709 0.8068
```

No. 3
Theoretical X-ray diffraction stick pattern
Compound: K4Ho3PuSe8
Radiation: CuKα
Structure: a GGA-PBE-relaxed structure
No peak broadening, texture or thermal motion is included.

Most intense lines, 2θ from 15° to 90°, sorted by position:
| Position (°2θ) | Rel. int. |
| --- | --- |
| 24.64 | 16 |
| 28.93 | 100 |
| 36.77 | 22 |
| 39.88 | 35 |
| 42.81 | 36 |
| 44.49 | 16 |
| 52.49 | 19 |
| 69.97 | 15 |

Structural model:
```
data_K4Ho3PuSe8
_chemical_formula_sum 'K12 Ho9 Pu3 Se24'
_cell_length_a 8.4494
_cell_length_b 8.4494
_cell_length_c 22.9974
_cell_angle_alpha 90.00
_cell_angle_beta 90.00
_cell_angle_gamma 120.00
_space_group_name_H-M_alt 'R -3 m'
_space_group_IT_number 166
_space_group_name_Hall '-R 3 2"'
loop_
_atom_site_label
_atom_site_type_symbol
_atom_site_fract_x
_atom_site_fract_y
_atom_site_fract_z
K1 K 0.0000 0.0000 0.0000
K2 K 0.0000 0.5000 0.0000
Ho1 Ho 0.0000 0.5000 0.5000
Pu1 Pu 0.0000 0.0000 0.5000
Se1 Se 0.0000 0.0000 0.2348
Se2 Se 0.0048 0.5024 0.7651
```

No. 4
Theoretical X-ray diffraction stick pattern
Compound: K3HoPu3Te8
Radiation: CuKα
Structure: a GGA-PBE-relaxed structure
No peak broadening, texture or thermal motion is included.

Most intense lines, 2θ from 15° to 90°, sorted by position:
| Position (°2θ) | Rel. int. |
| --- | --- |
| 23.16 | 16 |
| 27.03 | 100 |
| 34.13 | 27 |
| 36.96 | 35 |
| 40.18 | 37 |
| 41.68 | 18 |
| 49.10 | 19 |
| 65.24 | 17 |

Structural model:
```
data_K3HoPu3Te8
_chemical_formula_sum 'K9 Ho3 Pu9 Te24'
_cell_length_a 8.9775
_cell_length_b 8.9775
_cell_length_c 24.9419
_cell_angle_alpha 90.00
_cell_angle_beta 90.00
_cell_angle_gamma 120.00
_space_group_name_H-M_alt 'R -3 m'
_space_group_IT_number 166
_space_group_name_Hall '-R 3 2"'
loop_
_atom_site_label
_atom_site_type_symbol
_atom_site_fract_x
_atom_site_fract_y
_atom_site_fract_z
K1 K 0.0000 0.5000 0.0000
Ho1 Ho 0.0000 0.0000 0.5000
Pu1 Pu 0.0000 0.5000 0.5000
Te1 Te 0.0000 0.0000 0.2359
Te2 Te 0.0001 0.5000 0.2350
```

No. 5
Theoretical X-ray diffraction stick pattern
Compound: KHo3S4
Radiation: CuKα
Structure: a GGA-PBE-relaxed structure
No peak broadening, texture or thermal motion is included.

Most intense lines, 2θ from 15° to 90°, sorted by position:
| Position (°2θ) | Rel. int. |
| --- | --- |
| 27.84 | 61 |
| 29.17 | 79 |
| 30.81 | 47 |
| 32.71 | 100 |
| 34.83 | 50 |
| 45.03 | 44 |
| 45.93 | 70 |
| 47.91 | 37 |

Structural model:
```
data_KHo3S4
_chemical_formula_sum 'K2 Ho6 S8'
_cell_length_a 3.9515
_cell_length_b 3.9515
_cell_length_c 27.3867
_cell_angle_alpha 90.00
_cell_angle_beta 90.00
_cell_angle_gamma 120.00
_space_group_name_H-M_alt 'P 63/m m c'
_space_group_IT_number 194
_space_group_name_Hall '-P 6c 2c'
loop_
_atom_site_label
_atom_site_type_symbol
_atom_site_fract_x
_atom_site_fract_y
_atom_site_fract_z
K1 K 0.3333 0.6667 0.2500
Ho1 Ho 0.0000 0.0000 0.0000
Ho2 Ho 0.3333 0.6667 0.6146
S1 S 0.0000 0.0000 0.1690
S2 S 0.3333 0.6667 0.0572
```